# 1
Starting from DFT lattice parameters and positions (PBE+U), the X-ray diffraction stick pattern of MgMn6O10F2 was computed for CuKα.

Most intense lines, 15° ≤ 2θ ≤ 90°, most intense first:
(1 1 1), 23.4 deg, intensity 100; (-1 1 1), 27.8 deg, intensity 78; (2 0 0), 35.7 deg, intensity 66; (0 2 -4), 63.6 deg, intensity 30; (1 3 0), 49.7 deg, intensity 27; (0 0 3), 36.3 deg, intensity 22; (1 1 -2), 35.3 deg, intensity 20; (1 1 4), 50.9 deg, intensity 18; (1 -3 0), 54.8 deg, intensity 16; (-2 2 2), 57.5 deg, intensity 16

Atomic structure:
abc: 5.106 5.711 7.519
angles: 81.93 84.55 81.36
Fractional coordinates of all 19 atoms:
Mg 0.000 0.000 0.000
Mn 0.029 0.020 0.510
Mn 0.052 0.387 0.190
Mn 0.484 0.486 0.502
Mn 0.486 0.167 0.822
Mn 0.491 0.824 0.168
Mn 0.930 0.620 0.806
O 0.142 0.328 0.928
O 0.156 0.684 0.587
O 0.164 0.036 0.251
O 0.344 0.197 0.597
O 0.350 0.534 0.266
O 0.370 0.869 0.937
O 0.628 0.452 0.732
O 0.830 0.321 0.410
O 0.837 0.976 0.754
O 0.847 0.677 0.070
F 0.631 0.795 0.404
F 0.643 0.154 0.066

# 2
Starting from DFT lattice parameters and positions (PBE+U), the X-ray diffraction stick pattern of MgMn6O10F2 was computed for CuKα.

Most intense lines, 15° ≤ 2θ ≤ 90°, most intense first:
(1 0 -1), 22.5 deg, intensity 100; (1 0 1), 27.4 deg, intensity 61; (0 3 1), 35.5 deg, intensity 48; (2 3 -1), 48.8 deg, intensity 28; (1 3 0), 35.6 deg, intensity 27; (2 3 1), 54.1 deg, intensity 23; (1 3 -2), 48.4 deg, intensity 21; (0 3 3), 63.6 deg, intensity 17; (1 3 2), 53.8 deg, intensity 15; (1 3 1), 41.6 deg, intensity 12

Atomic structure:
abc: 5.073 8.762 5.167
angles: 90.00 101.20 90.00
Fractional coordinates of all 19 atoms:
Mg 0.000 0.000 0.000
Mn 0.496 0.000 0.919
Mn 0.500 0.342 0.943
Mn 0.500 0.658 0.943
Mn 0.932 0.175 0.498
Mn 0.932 0.825 0.498
Mn 0.995 0.500 0.452
O 0.142 0.000 0.666
O 0.194 0.331 0.639
O 0.194 0.669 0.639
O 0.329 0.500 0.087
O 0.667 0.500 0.795
O 0.694 0.160 0.805
O 0.694 0.840 0.805
O 0.782 0.336 0.266
O 0.782 0.664 0.266
O 0.783 0.000 0.276
F 0.298 0.157 0.104
F 0.298 0.843 0.104

# 3
Starting from DFT lattice parameters and positions (PBE+U), the X-ray diffraction stick pattern of MgMn6O5F7 was computed for CuKα.

Most intense lines, 15° ≤ 2θ ≤ 90°, most intense first:
(1 1 2), 26.2 deg, intensity 100; (1 -1 0), 23.8 deg, intensity 96; (2 1 0), 33.8 deg, intensity 49; (3 0 0), 48.8 deg, intensity 39; (0 1 -2), 34.8 deg, intensity 31; (3 2 2), 51.3 deg, intensity 30; (1 2 0), 33.7 deg, intensity 26; (0 2 2), 34.6 deg, intensity 24; (1 -2 2), 50.1 deg, intensity 24; (1 0 4), 52.8 deg, intensity 21

Atomic structure:
abc: 5.885 6.061 7.426
angles: 69.68 73.78 77.49
Fractional coordinates of all 19 atoms:
Mg 0.000 0.000 0.000
Mn 0.016 0.501 0.989
Mn 0.037 0.475 0.491
Mn 0.354 0.873 0.654
Mn 0.392 0.813 0.157
Mn 0.622 0.210 0.824
Mn 0.634 0.174 0.326
O 0.115 0.662 0.185
O 0.296 0.207 0.477
O 0.378 0.991 0.882
O 0.625 0.039 0.103
O 0.914 0.340 0.798
F 0.017 0.154 0.189
F 0.296 0.725 0.452
F 0.371 0.513 0.828
F 0.657 0.528 0.141
F 0.721 0.810 0.507
F 0.725 0.294 0.531
F 0.972 0.857 0.807

# 4
Starting from DFT lattice parameters and positions (PBE+U), the X-ray diffraction stick pattern of MgMn6O10F2 was computed for CuKα.

Most intense lines, 15° ≤ 2θ ≤ 90°, most intense first:
(1 -1 0), 23.3 deg, intensity 100; (1 1 0), 27.7 deg, intensity 69; (0 1 3), 35.7 deg, intensity 61; (1 -2 3), 49.5 deg, intensity 46; (1 2 3), 54.3 deg, intensity 30; (2 0 0), 36.7 deg, intensity 23; (-1 1 3), 38.8 deg, intensity 16; (2 -1 3), 49.7 deg, intensity 16; (2 1 -3), 54.5 deg, intensity 15; (1 0 3), 35.8 deg, intensity 14

Atomic structure:
abc: 4.969 5.017 8.758
angles: 90.00 90.07 99.75
Fractional coordinates of all 19 atoms:
Mg 0.000 0.000 0.000
Mn 0.040 0.508 0.670
Mn 0.080 0.503 0.008
Mn 0.503 0.046 0.826
Mn 0.505 0.033 0.511
Mn 0.506 0.045 0.183
Mn 0.970 0.561 0.340
O 0.151 0.775 0.166
O 0.159 0.766 0.509
O 0.168 0.764 0.843
O 0.364 0.236 0.675
O 0.366 0.224 0.005
O 0.637 0.856 0.670
O 0.641 0.853 0.343
O 0.839 0.319 0.504
O 0.873 0.289 0.165
O 0.874 0.278 0.847
F 0.353 0.257 0.357
F 0.640 0.803 0.990

Repeat the second record exactly.
Starting from DFT lattice parameters and positions (PBE+U), the X-ray diffraction stick pattern of MgMn6O10F2 was computed for CuKα.

Most intense lines, 15° ≤ 2θ ≤ 90°, most intense first:
(1 0 -1), 22.5 deg, intensity 100; (1 0 1), 27.4 deg, intensity 61; (0 3 1), 35.5 deg, intensity 48; (2 3 -1), 48.8 deg, intensity 28; (1 3 0), 35.6 deg, intensity 27; (2 3 1), 54.1 deg, intensity 23; (1 3 -2), 48.4 deg, intensity 21; (0 3 3), 63.6 deg, intensity 17; (1 3 2), 53.8 deg, intensity 15; (1 3 1), 41.6 deg, intensity 12

Atomic structure:
abc: 5.073 8.762 5.167
angles: 90.00 101.20 90.00
Fractional coordinates of all 19 atoms:
Mg 0.000 0.000 0.000
Mn 0.496 0.000 0.919
Mn 0.500 0.342 0.943
Mn 0.500 0.658 0.943
Mn 0.932 0.175 0.498
Mn 0.932 0.825 0.498
Mn 0.995 0.500 0.452
O 0.142 0.000 0.666
O 0.194 0.331 0.639
O 0.194 0.669 0.639
O 0.329 0.500 0.087
O 0.667 0.500 0.795
O 0.694 0.160 0.805
O 0.694 0.840 0.805
O 0.782 0.336 0.266
O 0.782 0.664 0.266
O 0.783 0.000 0.276
F 0.298 0.157 0.104
F 0.298 0.843 0.104

What is the formula in the second record?
MgMn6O10F2